Starting from the PBE geometry in Alexandria, the X-ray powder pattern of Th5Fe2Pb2 was simulated for Cu Kα.

Principal peaks in the range 5° ≤ 2θ ≤ 70°, low angle first:
2θ (°), Rel. int.
27.64, 51.1
30.30, 72.7
31.73, 100.0
32.83, 76.6
34.62, 61.4
38.68, 49.2
39.67, 43.4
57.90, 39.2

```
Th5Fe2Pb2
1.0
8.2297 -4.2311 0.0000
8.2297 4.2311 0.0000
0.0000 0.0000 7.1461
Th Fe Pb
10 4 4
Direct
0.0000 0.0000 0.0000 Th
0.0646 0.7162 0.6418 Th
0.2162 0.5646 0.1418 Th
0.2838 0.9354 0.6418 Th
0.4354 0.7838 0.1418 Th
0.5000 0.5000 0.5000 Th
0.5646 0.2162 0.8582 Th
0.7162 0.0646 0.3582 Th
0.7838 0.4354 0.8582 Th
0.9354 0.2838 0.3582 Th
0.1085 0.8915 0.3368 Fe
0.3915 0.6085 0.8368 Fe
0.6085 0.3915 0.1632 Fe
0.8915 0.1085 0.6632 Fe
0.2174 0.2174 0.0000 Pb
0.2826 0.2826 0.5000 Pb
0.7174 0.7174 0.5000 Pb
0.7826 0.7826 0.0000 Pb
```

=====

Starting from the PBE geometry in Alexandria, the X-ray powder pattern of Li12Zn6Ru was simulated for Cu Kα.

Principal peaks in the range 5° ≤ 2θ ≤ 70°, low angle first:
2θ (°), Rel. int.
13.05, 100.0
18.24, 66.2
22.07, 48.3
29.11, 17.5
29.76, 14.4
40.35, 53.3
41.75, 18.5
42.47, 38.1

```
Li12Zn6Ru
1.0
4.7348 2.7336 4.0277
-4.7348 2.7336 4.0277
0.0000 -5.4673 4.0277
Li Zn Ru
12 6 1
Direct
0.0263 0.9290 0.3061 Li
0.0710 0.6939 0.9737 Li
0.1271 0.4639 0.3487 Li
0.3061 0.0263 0.9290 Li
0.3487 0.1271 0.4639 Li
0.4639 0.3487 0.1271 Li
0.5361 0.6513 0.8729 Li
0.6513 0.8729 0.5361 Li
0.6939 0.9737 0.0710 Li
0.8729 0.5361 0.6513 Li
0.9290 0.3061 0.0263 Li
0.9737 0.0710 0.6939 Li
0.2381 0.7588 0.6095 Zn
0.2412 0.3905 0.7619 Zn
0.3905 0.7619 0.2412 Zn
0.6095 0.2381 0.7588 Zn
0.7588 0.6095 0.2381 Zn
0.7619 0.2412 0.3905 Zn
0.5000 0.5000 0.5000 Ru
```

=====

Starting from the PBE geometry in Alexandria, the X-ray powder pattern of DyAlGaHg was simulated for Cu Kα.

Principal peaks in the range 5° ≤ 2θ ≤ 70°, low angle first:
2θ (°), Rel. int.
22.01, 36.7
25.47, 4.2
36.33, 100.0
42.89, 20.3
52.32, 17.7
57.43, 8.8
65.37, 36.2
69.88, 6.6

```
DyAlGaHg
1.0
6.9940 0.0000 0.0000
0.0000 6.9940 0.0000
0.0000 0.0000 6.9940
Dy Al Ga Hg
4 4 4 4
Direct
0.0000 0.0000 0.0000 Dy
0.0000 0.5000 0.5000 Dy
0.5000 0.0000 0.5000 Dy
0.5000 0.5000 0.0000 Dy
0.0000 0.0000 0.5000 Al
0.0000 0.5000 0.0000 Al
0.5000 0.0000 0.0000 Al
0.5000 0.5000 0.5000 Al
0.2500 0.2500 0.7500 Ga
0.2500 0.7500 0.2500 Ga
0.7500 0.2500 0.2500 Ga
0.7500 0.7500 0.7500 Ga
0.2500 0.2500 0.2500 Hg
0.2500 0.7500 0.7500 Hg
0.7500 0.2500 0.7500 Hg
0.7500 0.7500 0.2500 Hg
```

=====

Starting from the PBE geometry in Alexandria, the X-ray powder pattern of U3Cu2Se7 was simulated for Cu Kα.

Principal peaks in the range 5° ≤ 2θ ≤ 70°, low angle first:
2θ (°), Rel. int.
17.94, 54.9
25.17, 93.4
34.13, 81.4
35.45, 100.0
36.35, 56.4
40.61, 86.8
47.68, 38.1
50.03, 45.8

```
U3Cu2Se7
1.0
10.1286 0.0000 0.0000
-5.0643 8.7716 0.0000
0.0000 0.0000 5.9845
U Cu Se
6 4 14
Direct
0.1543 0.3787 0.0000 U
0.2244 0.8457 0.0000 U
0.3787 0.2244 0.5000 U
0.6213 0.7756 0.0000 U
0.7756 0.1543 0.5000 U
0.8457 0.6213 0.5000 U
0.0000 0.0000 0.4672 Cu
0.0000 0.0000 0.9672 Cu
0.3333 0.6667 0.6333 Cu
0.6667 0.3333 0.1333 Cu
0.0752 0.5619 0.7526 Se
0.1121 0.2652 0.4839 Se
0.1530 0.8879 0.4839 Se
0.2652 0.1530 0.9839 Se
0.3333 0.6667 0.2279 Se
0.4381 0.5133 0.7526 Se
0.4867 0.9248 0.7526 Se
0.5133 0.0752 0.2526 Se
0.5619 0.4867 0.2526 Se
0.6667 0.3333 0.7279 Se
0.7348 0.8470 0.4839 Se
0.8470 0.1121 0.9839 Se
0.8879 0.7348 0.9839 Se
0.9248 0.4381 0.2526 Se
```

=====

Starting from the PBE geometry in Alexandria, the X-ray powder pattern of CsY2Cl7 was simulated for Cu Kα.

Principal peaks in the range 5° ≤ 2θ ≤ 70°, low angle first:
2θ (°), Rel. int.
12.31, 24.9
18.60, 18.9
18.97, 100.0
25.26, 21.7
31.60, 19.0
33.76, 18.2
35.72, 37.4
38.62, 18.1

```
CsY2Cl7
1.0
14.3835 0.0000 0.0000
0.0000 7.0343 0.0000
0.0000 0.0000 12.7544
Cs Y Cl
4 8 28
Direct
0.0315 0.2500 0.2066 Cs
0.4685 0.7500 0.7066 Cs
0.5315 0.2500 0.2934 Cs
0.9685 0.7500 0.7934 Cs
0.2434 0.2500 0.5519 Y
0.2470 0.2500 0.8556 Y
0.2530 0.7500 0.3556 Y
0.2566 0.7500 0.0519 Y
0.7434 0.2500 0.9481 Y
0.7470 0.2500 0.6444 Y
0.7530 0.7500 0.1444 Y
0.7566 0.7500 0.4481 Y
0.1176 0.7500 0.2027 Cl
0.1346 0.0102 0.4367 Cl
0.1346 0.4898 0.4367 Cl
0.1360 0.0097 0.9705 Cl
0.1360 0.4903 0.9705 Cl
0.1808 0.0117 0.7043 Cl
0.1808 0.4883 0.7043 Cl
0.3192 0.5117 0.2043 Cl
0.3192 0.9883 0.2043 Cl
0.3640 0.5097 0.4705 Cl
0.3640 0.9903 0.4705 Cl
0.3654 0.5102 0.9367 Cl
0.3654 0.9898 0.9367 Cl
0.3824 0.2500 0.7027 Cl
0.6176 0.7500 0.2973 Cl
0.6346 0.0102 0.0633 Cl
0.6346 0.4898 0.0633 Cl
0.6360 0.0097 0.5295 Cl
0.6360 0.4903 0.5295 Cl
0.6808 0.0117 0.7957 Cl
0.6808 0.4883 0.7957 Cl
0.8192 0.5117 0.2957 Cl
0.8192 0.9883 0.2957 Cl
0.8640 0.5097 0.0295 Cl
0.8640 0.9903 0.0295 Cl
0.8654 0.5102 0.5633 Cl
0.8654 0.9898 0.5633 Cl
0.8824 0.2500 0.7973 Cl
```

=====

Starting from the PBE geometry in Alexandria, the X-ray powder pattern of Li3Mg6Zn was simulated for Cu Kα.

Principal peaks in the range 5° ≤ 2θ ≤ 70°, low angle first:
2θ (°), Rel. int.
8.92, 26.0
10.80, 41.9
15.70, 20.6
37.01, 100.0
37.31, 22.1
37.75, 24.0
54.13, 14.5
67.67, 15.3

```
Li3Mg6Zn
1.0
8.4685 0.0000 0.0000
0.0000 4.7660 0.0000
-2.6147 0.0000 9.9138
Li Mg Zn
6 12 2
Direct
0.0524 0.2500 0.4016 Li
0.1558 0.7500 0.2008 Li
0.2530 0.2500 0.9955 Li
0.7470 0.7500 0.0045 Li
0.8442 0.2500 0.7992 Li
0.9476 0.7500 0.5984 Li
0.0381 0.7500 0.9004 Mg
0.1306 0.2500 0.6933 Mg
0.2621 0.7500 0.4930 Mg
0.3431 0.7500 0.7968 Mg
0.3562 0.2500 0.3136 Mg
0.4421 0.7500 0.1004 Mg
0.5579 0.2500 0.8996 Mg
0.6438 0.7500 0.6864 Mg
0.6569 0.2500 0.2032 Mg
0.7379 0.2500 0.5070 Mg
0.8694 0.7500 0.3067 Mg
0.9619 0.2500 0.0996 Mg
0.4357 0.2500 0.6149 Zn
0.5643 0.7500 0.3851 Zn
```